(1)
The following is a computed powder XRD pattern of Ac2Ir. It was derived from the GGA-PBE geometry in Alexandria, using Cu Kα, 1.54184 Å.
Kinematic intensities with the Lorentz-polarization factor, no thermal factor.

Crystal structure
Unit cell a=14.6924 b=4.4346 c=7.0485 alpha=90.00 beta=90.00 gamma=90.00
Element x y z (fractional)
1 Ac 0.0388 0.2500 0.2246
2 Ac 0.2110 0.2500 0.7806
3 Ac 0.2890 0.7500 0.2806
4 Ac 0.4612 0.7500 0.7246
5 Ac 0.5388 0.2500 0.2754
6 Ac 0.7110 0.2500 0.7194
7 Ac 0.7890 0.7500 0.2194
8 Ac 0.9612 0.7500 0.7754
9 Ir 0.1317 0.7500 0.0116
10 Ir 0.3683 0.2500 0.5116
11 Ir 0.6317 0.7500 0.4884
12 Ir 0.8683 0.2500 0.9884

The 6 most intense peaks (10 to 90 degrees two-theta), sorted by position:
| 2θ (°) | d [Å] | Rel. int. |
| --- | --- | --- |
| 13.94 | 6.355 | 45 |
| 26.67 | 3.342 | 100 |
| 27.38 | 3.257 | 41 |
| 34.73 | 2.583 | 50 |
| 35.29 | 2.543 | 29 |
| 42.16 | 2.144 | 39 |



(2)
The following is a computed powder XRD pattern of YbH12C8NO8. It was derived from the GGA-PBE geometry in Alexandria, using Cu Kα, 1.54184 Å.
Kinematic intensities with the Lorentz-polarization factor, no thermal factor.

Crystal structure
Unit cell a=10.9342 b=10.9342 c=10.9342 alpha=133.44 beta=133.44 gamma=67.96
Element x y z (fractional)
1 Yb 0.3750 0.1250 0.2500
2 Yb 0.6250 0.8750 0.7500
3 H 0.0281 0.8388 0.5909
4 H 0.0322 0.4466 0.5669
5 H 0.0347 0.4678 0.9144
6 H 0.0534 0.1203 0.5856
7 H 0.0628 0.4719 0.3106
8 H 0.1208 0.7640 0.4676
9 H 0.1532 0.6208 0.8568
10 H 0.2036 0.3468 0.9676
11 H 0.2522 0.5628 0.0909
12 H 0.2640 0.2964 0.6432
13 H 0.3388 0.2478 0.8106
14 H 0.3797 0.4653 0.9331
15 H 0.6203 0.5347 0.0669
16 H 0.6612 0.7522 0.1894
17 H 0.7360 0.7036 0.3568
18 H 0.7478 0.4372 0.9091
19 H 0.7964 0.6532 0.0324
20 H 0.8468 0.3792 0.1432
21 H 0.8792 0.2360 0.5324
22 H 0.9372 0.5281 0.6894
23 H 0.9466 0.8797 0.4144
24 H 0.9653 0.5322 0.0856
25 H 0.9678 0.5534 0.4331
26 H 0.9719 0.1612 0.4091
27 C 0.0029 0.7895 0.4465
28 C 0.0163 0.0624 0.1093
29 C 0.0564 0.5029 0.7133
30 C 0.1570 0.4436 0.9465
31 C 0.2895 0.3430 0.7867
32 C 0.4070 0.5163 0.4540
33 C 0.4376 0.0470 0.9540
34 C 0.4530 0.9070 0.3907
35 C 0.5470 0.0930 0.6093
36 C 0.5624 0.9530 0.0460
37 C 0.5930 0.4837 0.5460
38 C 0.7105 0.6570 0.2133
39 C 0.8430 0.5564 0.0535
40 C 0.9436 0.4971 0.2867
41 C 0.9837 0.9376 0.8907
42 C 0.9971 0.2105 0.5535
43 N 0.1250 0.3750 0.7500
44 N 0.8750 0.6250 0.2500
45 O 0.1057 0.9437 0.9031
46 O 0.1613 0.1596 0.2817
47 O 0.2974 0.3943 0.3380
48 O 0.3404 0.1221 0.0017
49 O 0.3779 0.8797 0.2183
50 O 0.3797 0.6613 0.5017
51 O 0.4437 0.0406 0.8380
52 O 0.4594 0.7974 0.4031
53 O 0.5406 0.2026 0.5969
54 O 0.5563 0.9594 0.1620
55 O 0.6203 0.3387 0.4983
56 O 0.6221 0.1203 0.7817
57 O 0.6596 0.8779 0.9983
58 O 0.7026 0.6057 0.6620
59 O 0.8387 0.8404 0.7183
60 O 0.8943 0.0563 0.0969

The 6 most intense peaks (10 to 90 degrees two-theta), sorted by position:
| 2θ (°) | d [Å] | Rel. int. |
| --- | --- | --- |
| 11.34 | 7.802 | 97 |
| 17.50 | 5.068 | 100 |
| 20.55 | 4.321 | 15 |
| 27.39 | 3.256 | 17 |
| 28.54 | 3.128 | 19 |
| 34.27 | 2.617 | 17 |